[1]
Diffraction record for Li2CeSb2. The XRD peak list is computed, not measured: it uses a PBE-relaxed structure and a wavelength of 1.5418 Å.
Neutral-atom scattering factors, no anomalous dispersion.

Structural model:
abc: 4.616 4.616 11.113
angles: 90.00 90.00 90.00
Positions (direct):
Li: 0.250 0.250 0.122
Li: 0.250 0.750 0.500
Li: 0.750 0.250 0.500
Li: 0.750 0.750 0.878
Ce: 0.250 0.250 0.769
Ce: 0.750 0.750 0.231
Sb: 0.250 0.250 0.352
Sb: 0.250 0.750 0.000
Sb: 0.750 0.250 0.000
Sb: 0.750 0.750 0.648

Most intense lines, 10° ≤ 2θ ≤ 90°, low angle first:
24.02°, intensity 18; 25.08°, intensity 44; 28.50°, intensity 43; 30.95°, intensity 38; 31.80°, intensity 100; 39.03°, intensity 50; 45.28°, intensity 24; 50.62°, intensity 19; 61.29°, intensity 20; 66.20°, intensity 24

[2]
Diffraction record for LiCeSi2. The XRD peak list is computed, not measured: it uses a PBE-relaxed structure and a wavelength of 1.5418 Å.
Neutral-atom scattering factors, no anomalous dispersion.

Structural model:
abc: 7.667 3.870 10.480
angles: 90.00 90.00 90.00
Positions (direct):
Li: 0.005 0.250 0.110
Li: 0.495 0.750 0.610
Li: 0.505 0.250 0.390
Li: 0.995 0.750 0.890
Ce: 0.138 0.750 0.364
Ce: 0.362 0.250 0.864
Ce: 0.638 0.750 0.136
Ce: 0.862 0.250 0.636
Si: 0.164 0.750 0.679
Si: 0.231 0.750 0.070
Si: 0.269 0.250 0.570
Si: 0.336 0.250 0.179
Si: 0.664 0.750 0.821
Si: 0.731 0.750 0.430
Si: 0.769 0.250 0.930
Si: 0.836 0.250 0.321

Most intense lines, 10° ≤ 2θ ≤ 90°, low angle first:
14.31°, intensity 88; 20.53°, intensity 43; 24.52°, intensity 57; 24.73°, intensity 50; 28.07°, intensity 41; 31.00°, intensity 52; 32.88°, intensity 100; 34.22°, intensity 35; 36.58°, intensity 75; 48.19°, intensity 46

[3]
Diffraction record for LiCeSn. The XRD peak list is computed, not measured: it uses a PBE-relaxed structure and a wavelength of 1.5418 Å.
Neutral-atom scattering factors, no anomalous dispersion.

Structural model:
abc: 4.766 4.766 4.766
angles: 60.00 60.00 60.00
Positions (direct):
Li: 0.000 0.000 0.000
Ce: 0.250 0.250 0.250
Sn: 0.750 0.750 0.750

Most intense lines, 10° ≤ 2θ ≤ 90°, low angle first:
22.85°, intensity 1; 26.45°, intensity 100; 37.75°, intensity 85; 46.69°, intensity 29; 54.46°, intensity 15; 61.53°, intensity 39; 68.16°, intensity 31; 80.64°, intensity 10; 86.68°, intensity 20

[4]
Diffraction record for LiCeSn. The XRD peak list is computed, not measured: it uses a PBE-relaxed structure and a wavelength of 1.5418 Å.
Neutral-atom scattering factors, no anomalous dispersion.

Structural model:
abc: 9.553 9.553 7.529
angles: 90.00 90.00 120.00
Positions (direct):
Li: 0.167 0.334 0.000
Li: 0.167 0.833 0.000
Li: 0.333 0.667 0.617
Li: 0.334 0.167 0.500
Li: 0.666 0.833 0.000
Li: 0.667 0.333 0.117
Li: 0.833 0.167 0.500
Li: 0.833 0.666 0.500
Ce: 0.000 0.000 0.290
Ce: 0.000 0.000 0.790
Ce: 0.024 0.512 0.292
Ce: 0.488 0.512 0.292
Ce: 0.488 0.976 0.292
Ce: 0.512 0.024 0.792
Ce: 0.512 0.488 0.792
Ce: 0.976 0.488 0.792
Sn: 0.167 0.334 0.558
Sn: 0.167 0.833 0.558
Sn: 0.333 0.667 0.017
Sn: 0.334 0.167 0.058
Sn: 0.666 0.833 0.558
Sn: 0.667 0.333 0.517
Sn: 0.833 0.167 0.058
Sn: 0.833 0.666 0.058

Most intense lines, 10° ≤ 2θ ≤ 90°, low angle first:
21.48°, intensity 19; 24.55°, intensity 50; 32.15°, intensity 100; 37.66°, intensity 56; 42.11°, intensity 12; 45.48°, intensity 10; 50.34°, intensity 27; 62.86°, intensity 22; 64.54°, intensity 24; 67.99°, intensity 9

[5]
Diffraction record for LiCeTl2. The XRD peak list is computed, not measured: it uses a PBE-relaxed structure and a wavelength of 1.5418 Å.
Neutral-atom scattering factors, no anomalous dispersion.

Structural model:
abc: 5.287 5.287 5.287
angles: 60.00 60.00 60.00
Positions (direct):
Li: 0.000 0.000 0.000
Ce: 0.500 0.500 0.500
Tl: 0.250 0.250 0.250
Tl: 0.750 0.750 0.750

Most intense lines, 10° ≤ 2θ ≤ 90°, low angle first:
20.58°, intensity 14; 23.80°, intensity 26; 33.91°, intensity 100; 40.00°, intensity 8; 41.86°, intensity 8; 48.72°, intensity 18; 54.92°, intensity 12; 60.68°, intensity 38; 71.37°, intensity 12; 81.41°, intensity 17

[6]
Diffraction record for CeLuMg2. The XRD peak list is computed, not measured: it uses a PBE-relaxed structure and a wavelength of 1.5418 Å.
Neutral-atom scattering factors, no anomalous dispersion.

Structural model:
abc: 5.348 5.348 5.348
angles: 60.00 60.00 60.00
Positions (direct):
Ce: 0.000 0.000 0.000
Lu: 0.500 0.500 0.500
Mg: 0.250 0.250 0.250
Mg: 0.750 0.750 0.750

Most intense lines, 10° ≤ 2θ ≤ 90°, low angle first:
23.53°, intensity 63; 33.51°, intensity 100; 41.36°, intensity 19; 48.13°, intensity 18; 54.24°, intensity 27; 59.92°, intensity 37; 70.43°, intensity 11; 75.41°, intensity 13; 80.29°, intensity 16; 85.09°, intensity 8